Record 1
NdIn6Pd6: computed X-ray powder pattern (a wavelength of 1.5418 Å), based on a DFT-relaxed cell (PBE, Alexandria).
Intensities are scaled so that the largest is 100.

Peak list (8 most intense, 10° ≤ 2θ ≤ 90°, by angle)
- hkl 1 0 3, 31.53 deg, I 58.8
- hkl 2 0 2, 36.75 deg, I 62.6
- hkl 1 2 3, 37.20 deg, I 99.3
- hkl 2 2 0, 37.40 deg, I 50.7
- hkl 1 3 2, 38.01 deg, I 41.0
- hkl 0 4 0, 39.05 deg, I 52.6
- hkl 0 2 4, 41.56 deg, I 47.6
- hkl 2 2 2, 41.81 deg, I 100.0

a b c (Å): 5.6345 9.2276 9.8516
angles (deg): 90.00 90.00 90.00
Space group Immm (No. 71)
Symmetry-distinct sites (fractional):
Nd: 0.0000 0.0000 0.0000 (multiplicity 2)
In: 0.0000 0.0000 0.3419 (multiplicity 4)
In: 0.0000 0.3383 0.0000 (multiplicity 4)
In: 0.0000 0.5000 0.3219 (multiplicity 4)
Pd: 0.0000 0.2611 0.5000 (multiplicity 4)
Pd: 0.2500 0.2500 0.2500 (multiplicity 8)



Record 2
PrPu5Ge6: computed X-ray powder pattern (a wavelength of 1.5418 Å), based on a DFT-relaxed cell (PBE, Alexandria).
Intensities are scaled so that the largest is 100.

Peak list (8 most intense, 10° ≤ 2θ ≤ 90°, by angle)
- hkl 0 2 0, 21.66 deg, I 37.7
- hkl 1 2 1, 34.70 deg, I 100.0
- hkl 1 2 -2, 34.81 deg, I 99.3
- hkl 2 0 -1, 38.34 deg, I 76.0
- hkl 0 4 0, 44.14 deg, I 26.0
- hkl 2 4 -1, 59.87 deg, I 41.9
- hkl 3 2 0, 66.93 deg, I 29.4
- hkl 3 2 -3, 67.13 deg, I 29.3

a b c (Å): 4.6920 8.2073 7.4166
angles (deg): 90.00 108.15 90.00
Space group P2/m (No. 10)
Symmetry-distinct sites (fractional):
Pr: 0.0000 0.0000 0.0000 (multiplicity 1)
Pu: 0.0000 0.5000 0.0000 (multiplicity 1)
Pu: 0.3241 0.0000 0.6498 (multiplicity 2)
Pu: 0.3291 0.5000 0.6617 (multiplicity 2)
Ge: 0.1676 0.2535 0.3321 (multiplicity 4)
Ge: 0.5000 0.2546 0.0000 (multiplicity 2)



Record 3
Y3ErRh8: computed X-ray powder pattern (a wavelength of 1.5418 Å), based on a DFT-relaxed cell (PBE, Alexandria).
Intensities are scaled so that the largest is 100.

Peak list (8 most intense, 10° ≤ 2θ ≤ 90°, by angle)
- hkl 1 1 0, 33.58 deg, I 28.0
- hkl 1 1 6, 39.60 deg, I 100.0
- hkl 0 0 12, 41.44 deg, I 39.2
- hkl 3 0 0, 60.04 deg, I 10.3
- hkl 2 0 14, 64.10 deg, I 31.4
- hkl 2 2 0, 70.58 deg, I 26.8
- hkl 1 0 22, 84.08 deg, I 11.0
- hkl 2 2 12, 85.28 deg, I 14.2

a b c (Å): 5.3388 5.3388 26.1404
angles (deg): 90.00 90.00 120.00
Space group R3m (No. 160, hexagonal axes)
Symmetry-distinct sites (fractional):
Y: 0.0000 0.0000 0.0000 (multiplicity 3)
Y: 0.0000 0.0000 0.1254 (multiplicity 3)
Y: 0.0000 0.0000 0.5005 (multiplicity 3)
Er: 0.0000 0.0000 0.6256 (multiplicity 3)
Rh: 0.0000 0.0000 0.3128 (multiplicity 3)
Rh: 0.0000 0.0000 0.8129 (multiplicity 3)
Rh: 0.9996 0.4998 0.0626 (multiplicity 9)
Rh: 0.0002 0.5001 0.5631 (multiplicity 9)



Record 4
P5Cl3: computed X-ray powder pattern (a wavelength of 1.5418 Å), based on a DFT-relaxed cell (PBE, Alexandria).
Intensities are scaled so that the largest is 100.

Peak list (8 most intense, 10° ≤ 2θ ≤ 90°, by angle)
- hkl 0 0 1, 11.90 deg, I 100.0
- hkl 0 2 0, 12.07 deg, I 65.8
- hkl 1 1 -1, 12.69 deg, I 79.0
- hkl 2 0 -1, 17.72 deg, I 65.3
- hkl 1 3 0, 20.82 deg, I 65.2
- hkl 1 3 -1, 21.35 deg, I 24.8
- hkl 2 2 -3, 33.79 deg, I 25.8
- hkl 1 5 1, 36.23 deg, I 35.8

a b c (Å): 10.0651 14.6688 8.5647
angles (deg): 90.00 119.75 90.00
Space group Cm (No. 8)
Symmetry-distinct sites (fractional):
P: 0.0000 0.0000 0.0000 (multiplicity 2)
P: 0.0861 0.0729 0.3890 (multiplicity 4)
P: 0.1965 0.0768 0.2155 (multiplicity 4)
P: 0.2039 0.4247 0.9936 (multiplicity 4)
P: 0.3361 0.5000 0.2581 (multiplicity 2)
P: 0.4922 0.1136 0.0173 (multiplicity 4)
Cl: 0.0598 0.0000 0.7997 (multiplicity 2)
Cl: 0.1067 0.3205 0.2696 (multiplicity 4)
Cl: 0.3725 0.0000 0.6699 (multiplicity 2)
Cl: 0.4414 0.2263 0.8499 (multiplicity 4)



Record 5
SrMoP4: computed X-ray powder pattern (a wavelength of 1.5418 Å), based on a DFT-relaxed cell (PBE, Alexandria).
Intensities are scaled so that the largest is 100.

Peak list (8 most intense, 10° ≤ 2θ ≤ 90°, by angle)
- hkl 1 1 1, 20.38 deg, I 23.8
- hkl 2 2 0, 33.59 deg, I 76.9
- hkl 3 1 1, 39.61 deg, I 100.0
- hkl 2 2 2, 41.45 deg, I 11.3
- hkl 4 2 2, 60.06 deg, I 27.4
- hkl 3 3 3, 64.12 deg, I 31.7
- hkl 4 4 0, 70.60 deg, I 21.8
- hkl 6 2 0, 80.49 deg, I 11.4

a b c (Å): 7.5467 7.5467 7.5467
angles (deg): 90.00 90.00 90.00
Space group F-43m (No. 216)
Symmetry-distinct sites (fractional):
Sr: 0.0000 0.0000 0.0000 (multiplicity 4)
Mo: 0.2500 0.2500 0.7500 (multiplicity 4)
P: 0.1169 0.1169 0.3831 (multiplicity 16)



Record 6
V3CrSe4: computed X-ray powder pattern (a wavelength of 1.5418 Å), based on a DFT-relaxed cell (PBE, Alexandria).
Intensities are scaled so that the largest is 100.

Peak list (8 most intense, 10° ≤ 2θ ≤ 90°, by angle)
- hkl 0 0 2, 26.45 deg, I 50.6
- hkl 0 2 0, 27.56 deg, I 45.7
- hkl 2 1 0, 28.55 deg, I 88.5
- hkl 0 2 1, 30.64 deg, I 43.8
- hkl 2 1 1, 31.55 deg, I 100.0
- hkl 1 0 3, 42.16 deg, I 35.9
- hkl 0 3 1, 44.06 deg, I 34.0
- hkl 2 3 0, 49.38 deg, I 65.2

a b c (Å): 7.1405 6.4735 6.7406
angles (deg): 90.00 90.00 90.00
Space group Pmn2_1 (No. 31)
Symmetry-distinct sites (fractional):
V: 0.0000 0.1474 0.0000 (multiplicity 2)
V: 0.1783 0.2618 0.6619 (multiplicity 4)
Cr: 0.0000 0.9298 0.6499 (multiplicity 2)
Se: 0.0000 0.1624 0.3678 (multiplicity 2)
Se: 0.0000 0.7770 0.9865 (multiplicity 2)
Se: 0.2203 0.6423 0.5002 (multiplicity 4)



Record 7
SmDyEr2Se4: computed X-ray powder pattern (a wavelength of 1.5418 Å), based on a DFT-relaxed cell (PBE, Alexandria).
Intensities are scaled so that the largest is 100.

Peak list (8 most intense, 10° ≤ 2θ ≤ 90°, by angle)
- hkl 1 1 1, 31.00 deg, I 100.0
- hkl 2 0 2, 43.76 deg, I 12.8
- hkl 1 1 -3, 44.12 deg, I 25.1
- hkl 3 1 -1, 44.68 deg, I 24.3
- hkl 0 2 0, 45.08 deg, I 11.9
- hkl 2 2 -2, 55.70 deg, I 12.6
- hkl 2 2 2, 64.61 deg, I 12.0
- hkl 0 2 4, 72.96 deg, I 11.2

a b c (Å): 7.0466 4.0226 7.1613
angles (deg): 90.00 108.75 90.00
Space group P2/m (No. 10)
Symmetry-distinct sites (fractional):
Sm: 0.0000 0.0000 0.0000 (multiplicity 1)
Dy: 0.5000 0.5000 0.0000 (multiplicity 1)
Er: 0.0000 0.5000 0.5000 (multiplicity 1)
Er: 0.5000 0.0000 0.5000 (multiplicity 1)
Se: 0.2515 0.0000 0.7430 (multiplicity 2)
Se: 0.2573 0.5000 0.2600 (multiplicity 2)